For CaTiP3WO12, a PBE+U-relaxed structure gives the computed XRD peak list in this record (Cu Kα, 1.54184 Å).
Intensities are scaled so that the largest is 100.

Structure:
a = 8.9875 Å, b = 8.9875 Å, c = 8.9875 Å
α = 58.63°, β = 58.63°, γ = 58.63°
Atoms (fractional coordinates):
Ca 0.0000 0.0000 0.0000
Ca 0.5000 0.5000 0.5000
Ti 0.3510 0.3510 0.3510
Ti 0.8510 0.8510 0.8510
P 0.0464 0.4615 0.7404
P 0.2404 0.9615 0.5464
P 0.4615 0.7404 0.0464
P 0.5464 0.2404 0.9615
P 0.7404 0.0464 0.4615
P 0.9615 0.5464 0.2404
W 0.1441 0.1441 0.1441
W 0.6441 0.6441 0.6441
O 0.9999 0.6277 0.7922
O 0.0706 0.2746 0.9023
O 0.0724 0.9488 0.7317
O 0.1277 0.4999 0.2922
O 0.1937 0.9889 0.3933
O 0.2317 0.4488 0.5724
O 0.2746 0.9024 0.0706
O 0.2922 0.1277 0.4999
O 0.3933 0.1937 0.9889
O 0.4023 0.7746 0.5706
O 0.4488 0.5724 0.2317
O 0.4889 0.6937 0.8933
O 0.4999 0.2922 0.1277
O 0.5706 0.4023 0.7746
O 0.5724 0.2317 0.4488
O 0.6277 0.7922 0.9999
O 0.6937 0.8933 0.4889
O 0.7317 0.0724 0.9488
O 0.7746 0.5706 0.4023
O 0.7922 0.9999 0.6277
O 0.8933 0.4889 0.6937
O 0.9023 0.0706 0.2746
O 0.9488 0.7317 0.0724
O 0.9889 0.3933 0.1937

The 10 most intense peaks (2θ = 15–90°), low angle first:
2theta  I/Imax
19.76  57
20.18  100
23.51  47
28.39  32
31.56  81
35.08  22
35.33  37
45.33  26
48.09  28
55.23  24